Theoretical powder diffraction line list
Compound: Li2Fe3F8
Radiation: Cu Kα, 1.54184 Å
Structure: a cell relaxed with GGA+U
Peak positions follow from Bragg's law for the DFT cell and can differ from measured ones.

Structure:
```
data_Li2Fe3F8
_chemical_formula_sum 'Li16 Fe24 F64'
_cell_length_a 10.9670
_cell_length_b 10.9670
_cell_length_c 10.0813
_cell_angle_alpha 90.00
_cell_angle_beta 90.00
_cell_angle_gamma 90.00
_symmetry_space_group_name_H-M 'I 41/a'
_symmetry_Int_Tables_number 88
loop_
_symmetry_equiv_pos_as_xyz
'x,y,z'
'-x,-y,-z'
'-y+3/4,x+1/4,z+1/4'
'y+3/4,-x+1/4,-z+1/4'
'-x+1/2,-y,z+1/2'
'x+1/2,y,-z+1/2'
'y+3/4,-x+3/4,z+3/4'
'-y+3/4,x+3/4,-z+3/4'
'x+1/2,y+1/2,z+1/2'
'-x+1/2,-y+1/2,-z+1/2'
'-y+1/4,x+3/4,z+3/4'
'y+1/4,-x+3/4,-z+3/4'
'-x,-y+1/2,z'
'x,y+1/2,-z'
'y+1/4,-x+1/4,z+1/4'
'-y+1/4,x+1/4,-z+1/4'
loop_
_atom_site_label
_atom_site_fract_x
_atom_site_fract_y
_atom_site_fract_z
Li1 0.0918 0.0561 0.3801
Fe1 0.0000 0.2500 0.1250
Fe2 0.0000 0.2500 0.6250
Fe3 0.1348 0.0556 0.8964
F1 0.0311 0.3824 0.9777
F2 0.0412 0.3808 0.4987
F3 0.0459 0.4494 0.2401
F4 0.2132 0.4795 0.7345
```

The 12 most intense peaks (10° ≤ 2θ ≤ 80°), by angle:
d 7.422, 2θ = 11.92°, rel. 12; d 4.410, 2θ = 20.13°, rel. 61; d 3.877, 2θ = 22.94°, rel. 17; d 2.857, 2θ = 31.31°, rel. 100; d 2.772, 2θ = 32.29°, rel. 18; d 2.205, 2θ = 40.93°, rel. 16; d 2.143, 2θ = 42.16°, rel. 10; d 2.086, 2θ = 43.39°, rel. 11; d 1.762, 2θ = 51.89°, rel. 10; d 1.758, 2θ = 52.03°, rel. 46; d 1.734, 2θ = 52.79°, rel. 17; d 1.483, 2θ = 62.66°, rel. 12